[1]
Diffraction record for TlCr2Rh4. The XRD peak list is calculated, not measured: it uses a structure optimized by DFT (PBE) and CuKα.

Structural model:
```
data_TlCr2Rh4
_cell_length_a 4.9012
_cell_length_b 4.9012
_cell_length_c 12.2088
_cell_angle_alpha 90.00
_cell_angle_beta 90.00
_cell_angle_gamma 90.00
_symmetry_space_group_name_H-M 'I 4/m m m'
_symmetry_Int_Tables_number 139
_symmetry_space_group_name_Hall '-I 4 2'
loop_
_atom_site_label
_atom_site_type_symbol
_atom_site_fract_x
_atom_site_fract_y
_atom_site_fract_z
Tl1 Tl 0.0000 0.0000 0.0000
Cr1 Cr 0.0000 0.0000 0.3979
Rh1 Rh 0.0000 0.0000 0.2243
Rh2 Rh 0.0000 0.5000 0.0000
```

The 10 most intense peaks (10 to 90 degrees two-theta), by angle:
(0 0 2), 14.51 deg, I = 520
(1 0 1), 19.52 deg, I = 372
(1 1 0), 25.71 deg, I = 452
(0 0 4), 29.26 deg, I = 409
(1 1 2), 29.64 deg, I = 226
(2 0 0), 36.67 deg, I = 1000
(1 0 5), 41.31 deg, I = 565
(2 0 4), 47.59 deg, I = 434
(2 2 0), 52.83 deg, I = 343
(2 1 5), 56.41 deg, I = 443

---

[2]
Diffraction record for VCr2Rh5. The XRD peak list is calculated, not measured: it uses a structure optimized by DFT (PBE) and CuKα.

Structural model:
```
data_VCr2Rh5
_cell_length_a 5.4032
_cell_length_b 5.4032
_cell_length_c 7.4774
_cell_angle_alpha 90.00
_cell_angle_beta 90.00
_cell_angle_gamma 90.00
_symmetry_space_group_name_H-M 'I 4/m m m'
_symmetry_Int_Tables_number 139
_symmetry_space_group_name_Hall '-I 4 2'
loop_
_atom_site_label
_atom_site_type_symbol
_atom_site_fract_x
_atom_site_fract_y
_atom_site_fract_z
V1 V 0.0000 0.0000 0.0000
Cr1 Cr 0.0000 0.5000 0.0000
Rh1 Rh 0.0000 0.0000 0.5000
Rh2 Rh 0.2500 0.2500 0.2500
```

The 10 most intense peaks (10 to 90 degrees two-theta), by angle:
(0 0 2), 23.80 deg, I = 57
(2 0 0), 33.16 deg, I = 49
(2 0 2), 41.23 deg, I = 1000
(2 2 0), 47.60 deg, I = 325
(0 0 4), 48.71 deg, I = 152
(4 0 0), 69.60 deg, I = 99
(2 2 4), 70.48 deg, I = 191
(4 2 2), 84.22 deg, I = 235
(2 0 6), 85.88 deg, I = 112
(4 0 4), 89.52 deg, I = 103

---

[3]
Diffraction record for Zn2CrRh5. The XRD peak list is calculated, not measured: it uses a structure optimized by DFT (PBE) and CuKα.

Structural model:
```
data_Zn2CrRh5
_cell_length_a 3.9086
_cell_length_b 3.9086
_cell_length_c 14.4612
_cell_angle_alpha 90.00
_cell_angle_beta 90.00
_cell_angle_gamma 90.00
_symmetry_space_group_name_H-M 'I 4/m m m'
_symmetry_Int_Tables_number 139
_symmetry_space_group_name_Hall '-I 4 2'
loop_
_atom_site_label
_atom_site_type_symbol
_atom_site_fract_x
_atom_site_fract_y
_atom_site_fract_z
Zn1 Zn 0.0000 0.0000 0.2498
Cr1 Cr 0.0000 0.0000 0.0000
Rh1 Rh 0.0000 0.0000 0.5000
Rh2 Rh 0.0000 0.5000 0.1242
```

The 10 most intense peaks (10 to 90 degrees two-theta), by angle:
(0 0 4), 24.62 deg, I = 27
(1 1 0), 32.39 deg, I = 27
(1 1 4), 41.11 deg, I = 1000
(2 0 0), 46.47 deg, I = 348
(0 0 8), 50.49 deg, I = 135
(2 2 0), 67.82 deg, I = 108
(2 0 8), 71.03 deg, I = 187
(3 1 4), 82.47 deg, I = 247
(1 1 12), 88.51 deg, I = 105
(2 2 8), 89.21 deg, I = 104